[1]
This entry pairs a crystal structure of Th3UP4 with its theoretical powder X-ray diffraction pattern. Radiation: Cu Kα X-rays. Structure: a cell relaxed with GGA-PBE.
Kinematic intensities with the Lorentz-polarization factor, no thermal factor.

The 10 most intense peaks (10° ≤ 2θ ≤ 80°), low angle first:
2θ/deg  intensity
26.6  27
26.7  81
30.9  100
44.1  38
44.3  37
52.3  14
52.4  41
55.0  20
72.9  18
73.2  17

Cell and atoms:
abc: 7.115 8.176 7.086
angles: 90.00 109.42 90.00
Sites, in units of the cell vectors:
1 Th 0.000 0.125 0.250
2 Th 0.000 0.375 0.750
3 Th 0.000 0.625 0.250
4 Th 0.000 0.875 0.750
5 Th 0.500 0.127 0.750
6 Th 0.500 0.873 0.250
7 U 0.500 0.377 0.250
8 U 0.500 0.623 0.750
9 P 0.255 0.130 0.006
10 P 0.255 0.870 0.506
11 P 0.260 0.380 0.499
12 P 0.260 0.620 0.999
13 P 0.740 0.380 0.001
14 P 0.740 0.620 0.501
15 P 0.745 0.130 0.494
16 P 0.745 0.870 0.994

[2]
This entry pairs a crystal structure of Mg3Ga7Co2 with its theoretical powder X-ray diffraction pattern. Radiation: Cu Kα X-rays. Structure: a cell relaxed with GGA-PBE.
Kinematic intensities with the Lorentz-polarization factor, no thermal factor.

The 10 most intense peaks (10° ≤ 2θ ≤ 80°), low angle first:
2θ/deg  intensity
16.2  83
19.0  52
35.4  85
41.5  100
42.4  67
42.9  51
44.0  67
44.2  59
44.5  52
44.8  50

Cell and atoms:
abc: 6.567 6.567 9.373
angles: 92.41 92.41 92.27
Sites, in units of the cell vectors:
1 Mg 0.148 0.852 0.750
2 Mg 0.255 0.363 0.696
3 Mg 0.363 0.255 0.196
4 Mg 0.637 0.745 0.804
5 Mg 0.745 0.637 0.304
6 Mg 0.852 0.148 0.250
7 Ga 0.056 0.191 0.974
8 Ga 0.110 0.444 0.398
9 Ga 0.191 0.056 0.474
10 Ga 0.230 0.770 0.250
11 Ga 0.306 0.568 0.981
12 Ga 0.432 0.694 0.519
13 Ga 0.444 0.110 0.898
14 Ga 0.556 0.890 0.102
15 Ga 0.568 0.306 0.481
16 Ga 0.694 0.432 0.019
17 Ga 0.770 0.230 0.750
18 Ga 0.809 0.944 0.526
19 Ga 0.890 0.556 0.602
20 Ga 0.944 0.809 0.026
21 Co 0.032 0.484 0.145
22 Co 0.484 0.032 0.645
23 Co 0.516 0.968 0.355
24 Co 0.968 0.516 0.855

[3]
This entry pairs a crystal structure of Pm6CoRu2Br3 with its theoretical powder X-ray diffraction pattern. Radiation: Cu Kα X-rays. Structure: a cell relaxed with GGA-PBE.
Kinematic intensities with the Lorentz-polarization factor, no thermal factor.

The 10 most intense peaks (10° ≤ 2θ ≤ 80°), low angle first:
2θ/deg  intensity
11.3  19
29.8  100
32.0  10
37.2  14
40.2  29
45.2  36
50.1  10
55.1  17
57.9  9
73.9  14

Cell and atoms:
abc: 6.954 6.954 8.177
angles: 98.16 98.16 119.93
Sites, in units of the cell vectors:
1 Pm 0.065 0.393 0.196
2 Pm 0.261 0.261 0.803
3 Pm 0.393 0.065 0.196
4 Pm 0.607 0.935 0.804
5 Pm 0.739 0.739 0.197
6 Pm 0.935 0.607 0.804
7 Co 0.000 0.000 0.000
8 Ru 0.334 0.666 0.000
9 Ru 0.666 0.334 0.000
10 Br 0.168 0.832 0.500
11 Br 0.500 0.500 0.500
12 Br 0.832 0.168 0.500

[4]
This entry pairs a crystal structure of Pr3Si2Ni6 with its theoretical powder X-ray diffraction pattern. Radiation: Cu Kα X-rays. Structure: a cell relaxed with GGA-PBE.
Kinematic intensities with the Lorentz-polarization factor, no thermal factor.

The 10 most intense peaks (10° ≤ 2θ ≤ 80°), low angle first:
2θ/deg  intensity
24.2  15
28.1  15
31.5  37
34.5  24
37.4  32
40.1  23
42.7  100
63.8  20
69.3  17
78.1  21

Cell and atoms:
abc: 7.788 7.788 7.788
angles: 109.47 109.47 109.47
Sites, in units of the cell vectors:
1 Pr 0.000 0.286 0.286
2 Pr 0.000 0.714 0.714
3 Pr 0.286 0.000 0.286
4 Pr 0.286 0.286 0.000
5 Pr 0.714 0.000 0.714
6 Pr 0.714 0.714 0.000
7 Si 0.000 0.000 0.500
8 Si 0.000 0.500 0.000
9 Si 0.500 0.000 0.000
10 Si 0.500 0.500 0.500
11 Ni 0.000 0.329 0.671
12 Ni 0.000 0.671 0.329
13 Ni 0.329 0.000 0.671
14 Ni 0.329 0.329 0.658
15 Ni 0.329 0.658 0.329
16 Ni 0.329 0.671 0.000
17 Ni 0.342 0.671 0.671
18 Ni 0.658 0.329 0.329
19 Ni 0.671 0.000 0.329
20 Ni 0.671 0.329 0.000
21 Ni 0.671 0.342 0.671
22 Ni 0.671 0.671 0.342

[5]
This entry pairs a crystal structure of Sc4ZnRe with its theoretical powder X-ray diffraction pattern. Radiation: Cu Kα X-rays. Structure: a cell relaxed with GGA-PBE.
Kinematic intensities with the Lorentz-polarization factor, no thermal factor.

The 10 most intense peaks (10° ≤ 2θ ≤ 80°), low angle first:
2θ/deg  intensity
19.8  32
22.9  13
32.6  65
38.4  100
40.2  16
51.2  8
58.1  25
62.0  31
68.2  20
77.7  10

Cell and atoms:
abc: 5.499 5.499 5.499
angles: 60.00 60.00 60.00
Sites, in units of the cell vectors:
1 Sc 0.377 0.377 0.377
2 Sc 0.377 0.377 0.868
3 Sc 0.377 0.868 0.377
4 Sc 0.868 0.377 0.377
5 Zn 0.000 0.000 0.000
6 Re 0.750 0.750 0.750

[6]
This entry pairs a crystal structure of V5S4 with its theoretical powder X-ray diffraction pattern. Radiation: Cu Kα X-rays. Structure: a cell relaxed with GGA-PBE.
Kinematic intensities with the Lorentz-polarization factor, no thermal factor.

The 10 most intense peaks (10° ≤ 2θ ≤ 80°), low angle first:
2θ/deg  intensity
14.0  87
36.1  67
41.5  100
42.8  23
45.2  63
46.4  39
50.9  48
58.2  20
74.9  15
76.7  23

Cell and atoms:
abc: 6.537 6.537 6.537
angles: 93.37 93.37 151.96
Sites, in units of the cell vectors:
1 V 0.000 0.000 0.000
2 V 0.300 0.379 0.679
3 V 0.379 0.700 0.079
4 V 0.621 0.300 0.921
5 V 0.700 0.621 0.321
6 S 0.063 0.272 0.335
7 S 0.272 0.937 0.208
8 S 0.728 0.063 0.792
9 S 0.937 0.728 0.665

[7]
This entry pairs a crystal structure of CsTaPbSe4 with its theoretical powder X-ray diffraction pattern. Radiation: Cu Kα X-rays. Structure: a cell relaxed with GGA-PBE.
Kinematic intensities with the Lorentz-polarization factor, no thermal factor.

The 10 most intense peaks (10° ≤ 2θ ≤ 80°), low angle first:
2θ/deg  intensity
15.2  81
22.4  45
23.8  87
27.1  84
27.4  32
28.6  100
29.7  86
35.3  80
36.7  39
48.8  34

Cell and atoms:
abc: 7.251 7.468 9.814
angles: 90.00 107.18 90.00
Sites, in units of the cell vectors:
1 Cs 0.237 0.250 0.435
2 Cs 0.763 0.750 0.565
3 Ta 0.287 0.750 0.172
4 Ta 0.713 0.250 0.828
5 Pb 0.257 0.250 0.943
6 Pb 0.743 0.750 0.057
7 Se 0.081 0.750 0.930
8 Se 0.091 0.750 0.332
9 Se 0.497 0.504 0.792
10 Se 0.497 0.996 0.792
11 Se 0.503 0.004 0.208
12 Se 0.503 0.496 0.208
13 Se 0.909 0.250 0.668
14 Se 0.919 0.250 0.070

[8]
This entry pairs a crystal structure of Pm3Dy7Sc with its theoretical powder X-ray diffraction pattern. Radiation: Cu Kα X-rays. Structure: a cell relaxed with GGA-PBE.
Kinematic intensities with the Lorentz-polarization factor, no thermal factor.

The 10 most intense peaks (10° ≤ 2θ ≤ 80°), low angle first:
2θ/deg  intensity
25.1  19
28.6  28
30.9  23
31.9  100
32.1  48
32.3  36
33.4  60
46.2  22
59.2  31
63.9  18

Cell and atoms:
abc: 9.824 9.824 11.152
angles: 90.02 90.02 138.61
Sites, in units of the cell vectors:
1 Pm 0.000 0.000 0.000
2 Pm 0.250 0.750 0.250
3 Pm 0.250 0.750 0.750
4 Pm 0.500 0.500 0.500
5 Pm 0.750 0.250 0.250
6 Pm 0.750 0.250 0.750
7 Dy 0.088 0.407 0.527
8 Dy 0.093 0.412 0.974
9 Dy 0.164 0.334 0.250
10 Dy 0.251 0.251 0.750
11 Dy 0.334 0.164 0.250
12 Dy 0.407 0.088 0.527
13 Dy 0.412 0.093 0.974
14 Dy 0.588 0.907 0.026
15 Dy 0.593 0.912 0.473
16 Dy 0.666 0.836 0.750
17 Dy 0.749 0.749 0.250
18 Dy 0.836 0.666 0.750
19 Dy 0.907 0.588 0.026
20 Dy 0.912 0.593 0.473
21 Sc 0.000 0.000 0.500
22 Sc 0.500 0.500 0.000

[9]
This entry pairs a crystal structure of Er2MgGa4Pt3 with its theoretical powder X-ray diffraction pattern. Radiation: Cu Kα X-rays. Structure: a cell relaxed with GGA-PBE.
Kinematic intensities with the Lorentz-polarization factor, no thermal factor.

The 10 most intense peaks (10° ≤ 2θ ≤ 80°), low angle first:
2θ/deg  intensity
26.9  19
31.6  25
32.0  65
35.2  100
44.5  21
44.8  56
45.2  56
56.5  26
65.5  36
76.9  22

Cell and atoms:
abc: 4.009 4.009 11.729
angles: 90.00 90.00 90.00
Sites, in units of the cell vectors:
1 Er 0.000 0.500 0.241
2 Er 0.500 0.000 0.759
3 Mg 0.000 0.000 0.500
4 Ga 0.000 0.000 0.000
5 Ga 0.000 0.500 0.646
6 Ga 0.500 0.000 0.354
7 Ga 0.500 0.500 0.000
8 Pt 0.000 0.500 0.858
9 Pt 0.500 0.000 0.142
10 Pt 0.500 0.500 0.500

[10]
This entry pairs a crystal structure of ScTaTl2 with its theoretical powder X-ray diffraction pattern. Radiation: Cu Kα X-rays. Structure: a cell relaxed with GGA-PBE.
Kinematic intensities with the Lorentz-polarization factor, no thermal factor.

The 10 most intense peaks (10° ≤ 2θ ≤ 80°), low angle first:
2θ/deg  intensity
30.1  14
34.2  100
37.1  18
39.4  18
42.5  14
55.2  11
59.4  11
65.0  12
68.2  14
72.4  12

Cell and atoms:
abc: 4.255 4.568 9.701
angles: 90.00 90.00 90.00
Sites, in units of the cell vectors:
1 Sc 0.000 0.000 0.000
2 Sc 0.500 0.500 0.000
3 Ta 0.000 0.500 0.791
4 Ta 0.500 0.000 0.791
5 Tl 0.000 0.000 0.545
6 Tl 0.000 0.500 0.261
7 Tl 0.500 0.000 0.261
8 Tl 0.500 0.500 0.545

[11]
This entry pairs a crystal structure of HfCrSe4 with its theoretical powder X-ray diffraction pattern. Radiation: Cu Kα X-rays. Structure: a cell relaxed with GGA-PBE.
Kinematic intensities with the Lorentz-polarization factor, no thermal factor.

The 10 most intense peaks (10° ≤ 2θ ≤ 80°), low angle first:
2θ/deg  intensity
12.5  99
28.9  15
33.5  100
41.8  15
44.6  27
45.8  12
50.2  11
51.3  19
51.9  13
61.7  11

Cell and atoms:
abc: 14.216 3.636 6.124
angles: 90.00 97.11 90.00
Sites, in units of the cell vectors:
1 Hf 0.000 0.000 0.000
2 Hf 0.500 0.500 0.000
3 Cr 0.000 0.500 0.500
4 Cr 0.500 0.000 0.500
5 Se 0.108 0.000 0.384
6 Se 0.114 0.500 0.856
7 Se 0.386 0.000 0.144
8 Se 0.392 0.500 0.616
9 Se 0.608 0.500 0.384
10 Se 0.614 0.000 0.856
11 Se 0.886 0.500 0.144
12 Se 0.892 0.000 0.616

[12]
This entry pairs a crystal structure of CeSiRu2 with its theoretical powder X-ray diffraction pattern. Radiation: Cu Kα X-rays. Structure: a cell relaxed with GGA-PBE.
Kinematic intensities with the Lorentz-polarization factor, no thermal factor.

The 10 most intense peaks (10° ≤ 2θ ≤ 80°), low angle first:
2θ/deg  intensity
27.0  42
30.9  51
33.4  25
33.5  25
33.8  27
33.9  26
37.5  100
40.9  86
41.0  86
45.6  49

Cell and atoms:
abc: 5.900 3.979 6.018
angles: 90.00 90.29 90.00
Sites, in units of the cell vectors:
1 Ce 0.250 0.250 0.123
2 Ce 0.750 0.750 0.877
3 Si 0.250 0.750 0.654
4 Si 0.750 0.250 0.346
5 Ru 0.008 0.250 0.671
6 Ru 0.493 0.250 0.670
7 Ru 0.507 0.750 0.330
8 Ru 0.992 0.750 0.329

[13]
This entry pairs a crystal structure of La2Tb9Pr with its theoretical powder X-ray diffraction pattern. Radiation: Cu Kα X-rays. Structure: a cell relaxed with GGA-PBE.
Kinematic intensities with the Lorentz-polarization factor, no thermal factor.

The 10 most intense peaks (10° ≤ 2θ ≤ 80°), low angle first:
2θ/deg  intensity
29.8  14
31.2  100
35.0  9
37.3  8
44.7  13
49.5  7
55.6  26
61.9  18
65.2  7
79.6  9

Cell and atoms:
abc: 11.441 11.441 3.520
angles: 90.00 90.00 120.00
Sites, in units of the cell vectors:
1 La 0.333 0.667 0.000
2 La 0.667 0.333 0.000
3 Tb 0.000 0.500 0.000
4 Tb 0.173 0.346 0.500
5 Tb 0.173 0.827 0.500
6 Tb 0.346 0.173 0.500
7 Tb 0.500 0.000 0.000
8 Tb 0.500 0.500 0.000
9 Tb 0.654 0.827 0.500
10 Tb 0.827 0.173 0.500
11 Tb 0.827 0.654 0.500
12 Pr 0.000 0.000 0.000